Diffraction record for Y3Al2In3. The X-ray diffraction stick pattern is calculated, not measured: it uses DFT lattice parameters and positions (GGA-PBE) and Cu Kα (weighted mean of Kα1 and Kα2).

Cell and atoms:
```
16
Lattice="2.267 -5.629 0.000 2.267 5.629 0.000 0.000 0.000 15.502" Properties=species:S:1:pos:R:3 pbc="T T T"
Y 2.267 4.819 9.503
Y 2.267 4.819 13.750
Y 2.267 1.716 11.627
Y 2.267 -1.716 3.876
Y 2.267 -4.819 1.752
Y 2.267 -4.819 5.999
Al 2.267 3.206 1.765
Al 2.267 3.206 5.986
Al 2.267 -3.206 9.516
Al 2.267 -3.206 13.737
In 2.267 1.409 3.876
In 2.267 1.407 8.328
In 2.267 1.407 14.925
In 2.267 -1.407 0.577
In 2.267 -1.407 7.174
In 2.267 -1.409 11.627
```

Main lines, sorted by position (2θ = 5–70°):
30.93°, d 2.891, I = 34.5; 31.40°, d 2.849, I = 100.0; 31.79°, d 2.814, I = 25.3; 35.59°, d 2.523, I = 50.0; 38.87°, d 2.317, I = 21.9; 39.77°, d 2.267, I = 33.9

=====

Diffraction record for Y3AlIn2. The X-ray diffraction stick pattern is calculated, not measured: it uses DFT lattice parameters and positions (GGA-PBE) and Cu Kα (weighted mean of Kα1 and Kα2).

Cell and atoms:
```
6
Lattice="3.674 0.000 0.000 0.000 3.674 0.000 0.000 0.000 11.396" Properties=species:S:1:pos:R:3 pbc="T T T"
Y 0.000 0.000 0.000
Y 0.000 0.000 3.915
Y 0.000 0.000 7.480
Al 1.837 1.837 5.698
In 1.837 1.837 1.955
In 1.837 1.837 9.441
```

Main lines, sorted by position (2θ = 5–70°):
7.76°, d 11.396, I = 13.2; 33.94°, d 2.641, I = 100.0; 34.52°, d 2.598, I = 48.5; 49.62°, d 1.837, I = 16.9; 60.37°, d 1.533, I = 17.2; 61.48°, d 1.508, I = 34.2

=====

Diffraction record for Y2AlIn. The X-ray diffraction stick pattern is calculated, not measured: it uses DFT lattice parameters and positions (GGA-PBE) and Cu Kα (weighted mean of Kα1 and Kα2).

Cell and atoms:
```
8
Lattice="3.876 0.000 0.000 0.000 4.926 0.000 0.000 0.000 10.699" Properties=species:S:1:pos:R:3 pbc="T T T"
Y 0.000 0.000 0.000
Y 0.000 2.463 2.511
Y 1.938 0.000 7.860
Y 1.938 2.463 5.349
Al 0.000 2.463 8.204
Al 1.938 0.000 2.855
In 0.000 0.000 4.947
In 1.938 2.463 10.297
```

Main lines, sorted by position (2θ = 5–70°):
30.96°, d 2.889, I = 12.8; 33.50°, d 2.675, I = 21.9; 33.86°, d 2.647, I = 100.0; 36.48°, d 2.463, I = 21.4; 50.36°, d 1.812, I = 13.4; 63.99°, d 1.455, I = 15.0